Record 1
Theoretical X-ray powder pattern
Compound: Dy7GaSe5
Radiation: CuKα
Structure: a cell relaxed with PBE
Kinematic intensities with the Lorentz-polarization factor, no thermal factor.

Most intense lines, 2θ = 15–90°, sorted by position:
29.1 deg, I 77.9, hkl 0 7 1; 30.9 deg, I 100.0, hkl 1 2 1; 32.0 deg, I 59.0, hkl 1 3 1; 32.5 deg, I 40.7, hkl 0 8 1; 41.0 deg, I 38.0, hkl 1 9 0; 44.8 deg, I 57.0, hkl 0 5 3

Cell and atoms:
abc: 4.0142 24.1729 6.9872
angles: 90.00 106.68 90.00
Space group P2_1/m (No. 11)
Symmetry-distinct sites (fractional):
1 Dy 0.0281 0.2500 0.0566 [2 per cell]
2 Dy 0.1390 0.5365 0.2781 [4 per cell]
3 Dy 0.3081 0.1803 0.6165 [4 per cell]
4 Dy 0.4073 0.6175 0.8141 [4 per cell]
5 Ga 0.3092 0.7500 0.6197 [2 per cell]
6 Se 0.0530 0.6424 0.1057 [4 per cell]
7 Se 0.2235 0.0722 0.4465 [4 per cell]
8 Se 0.5000 0.0000 0.0000 [2 per cell]


Record 2
Theoretical X-ray powder pattern
Compound: AcGa6Rh2
Radiation: CuKα
Structure: a cell relaxed with PBE
Kinematic intensities with the Lorentz-polarization factor, no thermal factor.

Most intense lines, 2θ = 15–90°, sorted by position:
24.6 deg, I 96.8, hkl 3 1 1; 29.7 deg, I 35.2, hkl 4 0 0; 38.9 deg, I 29.9, hkl 3 3 3; 42.5 deg, I 100.0, hkl 4 4 0; 59.0 deg, I 36.0, hkl 7 3 1; 77.9 deg, I 25.9, hkl 8 4 4

Cell and atoms:
abc: 12.0207 12.0207 12.0207
angles: 90.00 90.00 90.00
Space group Fd-3m (No. 227, origin choice 2)
Symmetry-distinct sites (fractional):
1 Ac 0.1250 0.1250 0.1250 [8 per cell]
2 Ga 0.1010 0.3750 0.8750 [48 per cell]
3 Rh 0.0000 0.0000 0.5000 [16 per cell]


Record 3
Theoretical X-ray powder pattern
Compound: Ho4GaCl5
Radiation: CuKα
Structure: a cell relaxed with PBE
Kinematic intensities with the Lorentz-polarization factor, no thermal factor.

Most intense lines, 2θ = 15–90°, sorted by position:
25.3 deg, I 18.7, hkl 1 1 -1; 27.5 deg, I 26.5, hkl 3 1 0; 31.2 deg, I 49.6, hkl 6 0 0; 31.7 deg, I 100.0, hkl 1 1 -2; 44.9 deg, I 55.3, hkl 5 1 2; 45.3 deg, I 33.0, hkl 7 1 -2

Cell and atoms:
abc: 17.6060 3.9427 8.0760
angles: 90.00 102.49 90.00
Space group C2/m (No. 12)
Symmetry-distinct sites (fractional):
1 Ho 0.0007 0.0000 0.2359 [4 per cell]
2 Ho 0.1557 0.5000 0.0850 [4 per cell]
3 Ga 0.0000 0.5000 0.0000 [2 per cell]
4 Cl 0.0000 0.5000 0.5000 [2 per cell]
5 Cl 0.1666 0.0000 0.3230 [4 per cell]
6 Cl 0.1747 0.0000 0.8518 [4 per cell]


Record 4
Theoretical X-ray powder pattern
Compound: Pb2N2O3
Radiation: CuKα
Structure: a cell relaxed with PBE
Kinematic intensities with the Lorentz-polarization factor, no thermal factor.

Most intense lines, 2θ = 15–90°, sorted by position:
20.3 deg, I 100.0, hkl 0 1 -1; 25.2 deg, I 51.5, hkl 0 1 2; 27.3 deg, I 56.9, hkl 1 0 0; 29.1 deg, I 60.4, hkl 1 1 1; 29.2 deg, I 85.4, hkl 0 2 1; 34.3 deg, I 76.8, hkl 1 2 0

Cell and atoms:
abc: 3.3943 6.4874 7.6908
angles: 79.19 89.68 74.87
Space group P1 (No. 1)
Symmetry-distinct sites (fractional):
1 Pb 0.0000 0.0000 0.0000 [1 per cell]
2 Pb 0.3004 0.3959 0.1664 [1 per cell]
3 N 0.1338 0.7304 0.6170 [1 per cell]
4 N 0.1967 0.6012 0.5359 [1 per cell]
5 O 0.3779 0.2467 0.9337 [1 per cell]
6 O 0.6864 0.6251 0.1343 [1 per cell]
7 O 0.9144 0.1651 0.2521 [1 per cell]


Record 5
Theoretical X-ray powder pattern
Compound: CeAs3Pt3
Radiation: CuKα
Structure: a cell relaxed with PBE
Kinematic intensities with the Lorentz-polarization factor, no thermal factor.

Most intense lines, 2θ = 15–90°, sorted by position:
26.0 deg, I 42.6, hkl 2 0 0; 29.1 deg, I 39.0, hkl 2 1 0; 32.0 deg, I 100.0, hkl 2 1 1; 45.9 deg, I 33.1, hkl 2 2 2; 49.8 deg, I 58.2, hkl 3 2 1; 53.5 deg, I 31.7, hkl 4 0 0

Cell and atoms:
abc: 6.8551 6.8551 6.8551
angles: 90.00 90.00 90.00
Space group Pm-3n (No. 223)
Symmetry-distinct sites (fractional):
1 Ce 0.0000 0.0000 0.0000 [2 per cell]
2 As 0.0000 0.2500 0.5000 [6 per cell]
3 Pt 0.0000 0.5000 0.2500 [6 per cell]


Record 6
Theoretical X-ray powder pattern
Compound: NdY4Ho4
Radiation: CuKα
Structure: a cell relaxed with PBE
Kinematic intensities with the Lorentz-polarization factor, no thermal factor.

Most intense lines, 2θ = 15–90°, sorted by position:
29.9 deg, I 87.4, hkl 1 2 3; 31.4 deg, I 53.6, hkl 1 -1 3; 31.7 deg, I 93.4, hkl 2 2 0; 31.8 deg, I 93.9, hkl 2 -1 0; 32.2 deg, I 89.4, hkl 0 3 0; 32.5 deg, I 100.0, hkl 1 0 -3

Cell and atoms:
abc: 6.7703 8.6853 10.6624
angles: 78.14 74.85 76.16
Space group P-1 (No. 2)
Symmetry-distinct sites (fractional):
1 Nd 0.2407 0.4651 0.2159 [2 per cell]
2 Y 0.0770 0.1711 0.7912 [2 per cell]
3 Y 0.0812 0.1618 0.1251 [2 per cell]
4 Y 0.2440 0.4813 0.5445 [2 per cell]
5 Y 0.2522 0.4775 0.8797 [2 per cell]
6 Ho 0.0871 0.1606 0.4607 [2 per cell]
7 Ho 0.3840 0.8361 0.6287 [2 per cell]
8 Ho 0.3900 0.8404 0.9606 [2 per cell]
9 Ho 0.3916 0.8378 0.2974 [2 per cell]